[1]
# Li8NiO5F
Calculated XRD peak list, Cu Kα X-rays. Input: a PBE+U-relaxed structure.
Lines closer than 0.1° are merged.

Most intense lines, 2θ = 10–80°, low angle first:
(0 0 2), d 5.425, 2θ 16.34, I = 28; (1 0 0), d 4.776, 2θ 18.58, I = 79; (1 0 2), d 3.585, 2θ 24.84, I = 100; (1 1 0), d 2.757, 2θ 32.47, I = 42; (0 0 4), d 2.713, 2θ 33.02, I = 33; (1 1 1), d 2.672, 2θ 33.54, I = 29; (1 0 4), d 2.359, 2θ 38.15, I = 20; (2 0 2), d 2.185, 2θ 41.31, I = 25; (1 1 4), d 1.934, 2θ 46.99, I = 25; (2 1 2), d 1.713, 2θ 53.50, I = 22; (1 0 6), d 1.691, 2θ 54.24, I = 18; (3 0 0), d 1.592, 2θ 57.93, I = 32

Atomic structure:
Lattice parameters (Å, degrees): 5.5143 5.5143 10.8509 90.00 90.00 120.00
Space group P6_3 (No. 173)
Asymmetric unit:
Li 0.0187 0.6381 0.0000
Li 0.0235 0.3121 0.1514
Li 0.3333 0.6667 0.2937
Li 0.3333 0.6667 0.8052
Ni 0.0000 0.0000 0.3676
O 0.0000 0.0000 0.0500
O 0.0016 0.6801 0.8267
O 0.3333 0.6667 0.0918
F 0.3333 0.6667 0.5872

=====

[2]
# Li2NiPO4F
Calculated XRD peak list, Cu Kα X-rays. Input: a PBE+U-relaxed structure.
Lines closer than 0.1° are merged.

Most intense lines, 2θ = 10–80°, low angle first:
(1 0 0), d 4.978, 2θ 17.82, I = 26; (0 0 2), d 4.949, 2θ 17.92, I = 26; (1 0 -2), d 3.899, 2θ 22.81, I = 17; (0 1 2), d 3.417, 2θ 26.08, I = 16; (1 1 -2), d 3.353, 2θ 26.58, I = 25; (1 -2 0), d 3.343, 2θ 26.67, I = 100; (1 0 2), d 3.218, 2θ 27.72, I = 56; (1 2 -2), d 2.513, 2θ 35.73, I = 23; (2 0 -2), d 2.415, 2θ 37.23, I = 14; (-2 2 2), d 2.127, 2θ 42.50, I = 14; (1 0 4), d 2.065, 2θ 43.83, I = 13; (-3 2 2), d 1.659, 2θ 55.40, I = 14

Atomic structure:
Lattice parameters (Å, degrees): 5.341 7.411 10.624 108.39 94.11 108.33
Space group P1 (No. 1)
Asymmetric unit:
Li 0.000 0.000 0.000
Li 0.000 0.000 0.500
Li 0.089 0.409 0.182
Li 0.089 0.409 0.682
Li 0.495 0.768 0.354
Li 0.495 0.768 0.853
Li 0.718 0.159 0.869
Li 0.719 0.159 0.369
Ni 0.544 0.803 0.108
Ni 0.545 0.803 0.608
Ni 0.547 0.313 0.114
Ni 0.547 0.313 0.614
P 0.182 0.064 0.284
P 0.183 0.064 0.784
P 0.917 0.558 0.440
P 0.917 0.558 0.940
O 0.212 0.178 0.182
O 0.213 0.178 0.682
O 0.219 0.673 0.452
O 0.219 0.673 0.952
O 0.275 0.204 0.434
O 0.277 0.205 0.934
O 0.357 0.927 0.755
O 0.358 0.929 0.255
O 0.770 0.713 0.469
O 0.770 0.713 0.969
O 0.808 0.394 0.294
O 0.808 0.394 0.794
O 0.870 0.436 0.037
O 0.870 0.436 0.537
O 0.876 0.947 0.271
O 0.877 0.947 0.771
F 0.445 0.567 0.179
F 0.445 0.567 0.679
F 0.658 0.049 0.033
F 0.658 0.049 0.533